1.
Computed X-ray diffraction stick pattern of Mg6CdGa for a wavelength of 1.5418 Å, from a crystal structure in Alexandria, relaxed with PBE.

Largest 10 diffraction maxima, in order of falling intensity, 2θ from 5° to 70°:
- 37.78°, I = 100
- 16.47°, I = 53
- 37.26°, I = 38
- 35.14°, I = 37
- 23.82°, I = 28
- 33.48°, I = 26
- 24.02°, I = 24
- 64.79°, I = 20
- 32.71°, I = 19
- 33.29°, I = 17

```
data_Mg6CdGa
_cell_length_a 5.1078
_cell_length_b 6.2874
_cell_length_c 6.2874
_cell_angle_alpha 58.88
_cell_angle_beta 90.00
_cell_angle_gamma 90.00
_symmetry_space_group_name_H-M 'P 1'
_symmetry_Int_Tables_number 1
_symmetry_space_group_name_Hall 'P 1'
loop_
_atom_site_label
_atom_site_type_symbol
_atom_site_fract_x
_atom_site_fract_y
_atom_site_fract_z
Mg1 Mg 0.0000 0.0000 0.0000
Mg2 Mg 0.0000 0.0078 0.5012
Mg3 Mg 0.0000 0.5012 0.0078
Mg4 Mg 0.5000 0.3310 0.8285
Mg5 Mg 0.5000 0.8285 0.3310
Mg6 Mg 0.5000 0.8324 0.8324
Cd1 Cd 0.0000 0.5081 0.5081
Ga1 Ga 0.5000 0.3212 0.3212
```

***

2.
Computed X-ray diffraction stick pattern of Rb2Ta3Cl9 for a wavelength of 1.5418 Å, from a crystal structure in Alexandria, relaxed with PBE.

Largest 10 diffraction maxima, in order of falling intensity, 2θ from 5° to 70°:
- 10.63°, I = 100
- 11.39°, I = 94
- 9.83°, I = 65
- 10.16°, I = 61
- 14.15°, I = 40
- 36.31°, I = 30
- 32.30°, I = 26
- 41.65°, I = 22
- 45.68°, I = 21
- 31.34°, I = 20

```
data_Rb2Ta3Cl9
_cell_length_a 10.1708
_cell_length_b 10.1708
_cell_length_c 9.9986
_cell_angle_alpha 103.01
_cell_angle_beta 103.01
_cell_angle_gamma 117.72
_symmetry_space_group_name_H-M 'P 1'
_symmetry_Int_Tables_number 1
_symmetry_space_group_name_Hall 'P 1'
loop_
_atom_site_label
_atom_site_type_symbol
_atom_site_fract_x
_atom_site_fract_y
_atom_site_fract_z
Rb1 Rb 0.0501 0.7309 0.6783
Rb2 Rb 0.2691 0.9499 0.3217
Rb3 Rb 0.7309 0.0501 0.6783
Rb4 Rb 0.9499 0.2691 0.3217
Ta1 Ta 0.2878 0.4546 0.8622
Ta2 Ta 0.3827 0.3827 0.1197
Ta3 Ta 0.4546 0.2878 0.8622
Ta4 Ta 0.5454 0.7122 0.1378
Ta5 Ta 0.6173 0.6173 0.8803
Ta6 Ta 0.7122 0.5454 0.1378
Cl1 Cl 0.0154 0.3941 0.6830
Cl2 Cl 0.1066 0.3076 0.9786
Cl3 Cl 0.1907 0.1907 0.6722
Cl4 Cl 0.2341 0.2341 0.2686
Cl5 Cl 0.3005 0.6995 0.0000
Cl6 Cl 0.3076 0.1066 0.9786
Cl7 Cl 0.3861 0.5851 0.6941
Cl8 Cl 0.3941 0.0154 0.6830
Cl9 Cl 0.4149 0.6139 0.3059
Cl10 Cl 0.5851 0.3861 0.6941
Cl11 Cl 0.6059 0.9846 0.3170
Cl12 Cl 0.6139 0.4149 0.3059
Cl13 Cl 0.6924 0.8934 0.0214
Cl14 Cl 0.6995 0.3005 0.0000
Cl15 Cl 0.7659 0.7659 0.7314
Cl16 Cl 0.8093 0.8093 0.3278
Cl17 Cl 0.8934 0.6924 0.0214
Cl18 Cl 0.9846 0.6059 0.3170
```